This entry pairs a crystal structure of Pu4CdPd2Pt with its calculated XRD peak list. Radiation: Cu Kα X-rays. Structure: the PBE geometry in Alexandria.

Atomic structure:
```
data_Pu4CdPd2Pt
_cell_length_a 5.1090
_cell_length_b 5.1090
_cell_length_c 24.5652
_cell_angle_alpha 90.00
_cell_angle_beta 90.00
_cell_angle_gamma 120.00
_space_group_name_H-M_alt 'R -3 m'
_space_group_IT_number 166
_space_group_name_Hall '-R 3 2"'
loop_
_atom_site_label
_atom_site_type_symbol
_atom_site_fract_x
_atom_site_fract_y
_atom_site_fract_z
Pu1 Pu 0.0000 0.0000 0.1142
Pu2 Pu 0.0000 0.0000 0.3645
Cd1 Cd 0.0000 0.0000 0.5000
Pd1 Pd 0.0000 0.0000 0.2361
Pt1 Pt 0.0000 0.0000 0.0000
```

Principal peaks in the range 15° ≤ 2θ ≤ 90°, by intensity:
2theta	Rel. int.	index
35.13	100	1 1 0
35.59	74	0 1 8
63.33	28	1 2 8
50.87	27	2 0 8
63.03	19	3 0 0
24.80	17	1 0 4
48.83	14	1 1 9
85.15	13	3 1 8